This entry pairs a crystal structure of YbGe6 with its simulated powder diffractogram. Radiation: a wavelength of 1.5418 Å. Structure: a cell relaxed with GGA-PBE.
Lines closer than 0.1° are merged.

```
data_YbGe6
_space_group_name_H-M_alt 'I m -3 m'
_space_group_IT_number 229
_space_group_name_Hall '-I 4 2 3'
_cell_length_a 7.0981
_cell_length_b 7.0981
_cell_length_c 7.0981
_cell_angle_alpha 90.00
_cell_angle_beta 90.00
_cell_angle_gamma 90.00
loop_
_atom_site_label
_atom_site_type_symbol
_atom_site_fract_x
_atom_site_fract_y
_atom_site_fract_z
_atom_site_occupancy
Yb1 Yb 0.0000 0.0000 0.0000 1
Ge1 Ge 0.0000 0.2500 0.5000 1
```

Principal peaks in the range 2θ = 5–70°, in order of falling intensity:
d [Å]	intensity	index
2.898	100	2 1 1
1.897	59	3 2 1
3.549	42	2 0 0
1.775	22	4 0 0
1.587	16	4 2 0
1.513	14	3 3 2

This entry pairs a crystal structure of Zn3Ge with its simulated powder diffractogram. Radiation: a wavelength of 1.5418 Å. Structure: a cell relaxed with GGA-PBE.
Lines closer than 0.1° are merged.

```
data_Zn3Ge
_space_group_name_H-M_alt 'I 4/m m m'
_space_group_IT_number 139
_space_group_name_Hall '-I 4 2'
_cell_length_a 4.0173
_cell_length_b 4.0173
_cell_length_c 8.0854
_cell_angle_alpha 90.00
_cell_angle_beta 90.00
_cell_angle_gamma 90.00
loop_
_atom_site_label
_atom_site_type_symbol
_atom_site_fract_x
_atom_site_fract_y
_atom_site_fract_z
_atom_site_occupancy
Zn1 Zn 0.0000 0.0000 0.0000 1
Zn2 Zn 0.0000 0.5000 0.2500 1
Ge1 Ge 0.0000 0.0000 0.5000 1
```

Principal peaks in the range 2θ = 5–70°, in order of falling intensity:
d [Å]	intensity	index
2.324	100	1 1 2
2.009	32	2 0 0
1.425	20	2 0 4
2.021	16	0 0 4
1.420	10	2 2 0

This entry pairs a crystal structure of Zr3Ge with its simulated powder diffractogram. Radiation: a wavelength of 1.5418 Å. Structure: a cell relaxed with GGA-PBE.
Lines closer than 0.1° are merged.

```
data_Zr3Ge
_space_group_name_H-M_alt 'I -4'
_space_group_IT_number 82
_cell_length_a 11.1481
_cell_length_b 11.1481
_cell_length_c 5.4749
_cell_angle_alpha 90.00
_cell_angle_beta 90.00
_cell_angle_gamma 90.00
loop_
_space_group_symop_operation_xyz
'x,y,z'
'y,-x,-z'
'-x,-y,z'
'-y,x,-z'
'x+1/2,y+1/2,z+1/2'
'y+1/2,-x+1/2,-z+1/2'
'-x+1/2,-y+1/2,z+1/2'
'-y+1/2,x+1/2,-z+1/2'
loop_
_atom_site_label
_atom_site_type_symbol
_atom_site_fract_x
_atom_site_fract_y
_atom_site_fract_z
_atom_site_occupancy
Zr1 Zr 0.0282 0.1384 0.2291 1
Zr2 Zr 0.0807 0.6081 0.0196 1
Zr3 Zr 0.1816 0.7165 0.4978 1
Ge1 Ge 0.0397 0.2068 0.7209 1
```

Principal peaks in the range 2θ = 5–70°, in order of falling intensity:
d [Å]	intensity	index
2.424	100	1 4 1
2.692	88	3 2 1
2.586	58	1 1 2
2.493	44	4 2 0
2.628	37	3 3 0
2.248	34	2 2 2

This entry pairs a crystal structure of Zr3Ge2 with its simulated powder diffractogram. Radiation: a wavelength of 1.5418 Å. Structure: a cell relaxed with GGA-PBE.
Lines closer than 0.1° are merged.

```
data_Zr3Ge2
_space_group_name_H-M_alt 'I m m m'
_space_group_IT_number 71
_space_group_name_Hall '-I 2 2'
_cell_length_a 4.0367
_cell_length_b 6.0978
_cell_length_c 8.1102
_cell_angle_alpha 90.00
_cell_angle_beta 90.00
_cell_angle_gamma 90.00
loop_
_atom_site_label
_atom_site_type_symbol
_atom_site_fract_x
_atom_site_fract_y
_atom_site_fract_z
_atom_site_occupancy
Zr1 Zr 0.0000 0.0000 0.0000 1
Zr2 Zr 0.0000 0.5000 0.2070 1
Ge1 Ge 0.0000 0.2070 0.5000 1
```

Principal peaks in the range 2θ = 5–70°, in order of falling intensity:
d [Å]	intensity	index
2.590	100	1 1 2
2.330	64	1 2 1
2.018	26	2 0 0
1.350	23	1 2 5
2.437	19	0 2 2
2.471	18	0 1 3